Record 1
Simulated X-ray diffraction stick pattern
Compound: CdMoRh2
Radiation: Cu Kα, 1.54184 Å
Structure: DFT lattice parameters and positions (PBE)
Peak positions follow from Bragg's law for the DFT cell and can differ from measured ones.

Crystal structure
Lattice parameters (Å, degrees): 2.8480 3.7222 6.0008 90.00 90.00 90.00
Space group Pmmm (No. 47)
Symmetry-distinct sites (fractional):
Cd 0.0000 0.0000 0.0000 [1 per cell]
Mo 0.0000 0.0000 0.5000 [1 per cell]
Rh 0.5000 0.5000 0.2716 [2 per cell]

Top 10 peaks for 5° ≤ 2θ ≤ 70°, low angle first:
2θ (°)	d (Å)	I_rel	index
28.2	3.163	3	0 1 1
34.9	2.573	2	1 0 1
38.5	2.336	100	0 1 2
39.9	2.262	94	1 1 0
43.8	2.066	69	1 0 2
45.3	2.000	2	0 0 3
48.9	1.861	26	0 2 0
61.9	1.500	13	0 0 4
65.6	1.424	10	2 0 0
67.8	1.383	36	1 2 2

Record 2
Simulated X-ray diffraction stick pattern
Compound: Rb2OsBr2O4
Radiation: Cu Kα, 1.54184 Å
Structure: DFT lattice parameters and positions (PBE)
Peak positions follow from Bragg's law for the DFT cell and can differ from measured ones.

Crystal structure
Lattice parameters (Å, degrees): 7.0542 7.0542 8.7590 90.00 90.00 90.00
Space group I4/mmm (No. 139)
Symmetry-distinct sites (fractional):
Rb 0.0000 0.5000 0.2500 [4 per cell]
Os 0.0000 0.0000 0.0000 [2 per cell]
Br 0.0000 0.0000 0.2972 [4 per cell]
O 0.1818 0.1818 0.0000 [8 per cell]

Top 10 peaks for 5° ≤ 2θ ≤ 70°, low angle first:
2θ (°)	d (Å)	I_rel	index
16.1	5.494	70	1 0 1
17.8	4.988	36	1 1 0
25.3	3.527	100	2 0 0
27.1	3.291	40	1 1 2
33.2	2.698	50	1 0 3
36.0	2.494	53	2 2 0
42.2	2.143	39	2 1 3
49.0	1.860	21	2 0 4
56.6	1.625	23	3 2 3
58.5	1.577	23	4 2 0

Record 3
Simulated X-ray diffraction stick pattern
Compound: Cs2Rb4H5
Radiation: Cu Kα, 1.54184 Å
Structure: DFT lattice parameters and positions (PBE)
Peak positions follow from Bragg's law for the DFT cell and can differ from measured ones.

Crystal structure
Lattice parameters (Å, degrees): 4.6803 4.6803 63.3739 90.00 90.00 120.00
Space group R-3m (No. 166, hexagonal axes)
Symmetry-distinct sites (fractional):
Cs 0.0000 0.0000 0.1384 [6 per cell]
Rb 0.0000 0.0000 0.3097 [6 per cell]
Rb 0.0000 0.0000 0.4171 [6 per cell]
H 0.0000 0.0000 0.2235 [6 per cell]
H 0.0000 0.0000 0.3572 [6 per cell]
H 0.0000 0.0000 0.5000 [3 per cell]

Top 10 peaks for 5° ≤ 2θ ≤ 70°, low angle first:
2θ (°)	d (Å)	I_rel	index
22.6	3.927	50	1 0 4
24.1	3.699	100	1 0 7
25.3	3.521	43	0 0 18
26.9	3.315	98	0 1 11
38.3	2.348	21	1 0 22
38.5	2.340	46	1 1 0
45.9	1.978	17	0 2 7
46.6	1.949	48	1 1 18
47.3	1.923	23	0 1 29
47.6	1.912	20	2 0 11